1.
Diffraction record for MgTlV4FeS8. The PXRD pattern is simulated, not measured: it uses a crystal structure in the Materials Project, relaxed with GGA-PBE and Cu Kα.
Intensities are scaled so that the largest is 100.

Largest 6 diffraction maxima, by intensity, 10 to 90 degrees two-theta:
33.24 deg, I 100
20.60 deg, I 92
34.32 deg, I 90
20.30 deg, I 72
30.64 deg, I 66
10.28 deg, I 59

Crystal structure
Cell: 9.060 9.060 9.046 Å, 104.40 104.40 21.94°
Sites, in units of the cell vectors:
1 Mg 0.000 0.000 0.000
2 Tl 0.447 0.447 0.252
3 V 0.254 0.254 0.357
4 V 0.306 0.306 0.685
5 V 0.616 0.616 0.667
6 V 0.667 0.667 0.006
7 Fe 0.935 0.935 0.668
8 S 0.034 0.034 0.530
9 S 0.129 0.129 0.165
10 S 0.199 0.199 0.832
11 S 0.384 0.384 0.519
12 S 0.526 0.526 0.828
13 S 0.717 0.717 0.525
14 S 0.790 0.790 0.197
15 S 0.865 0.865 0.847

2.
Diffraction record for GaPS4. The PXRD pattern is simulated, not measured: it uses a crystal structure in the Materials Project, relaxed with GGA-PBE and Cu Kα.
Intensities are scaled so that the largest is 100.

Largest 6 diffraction maxima, by intensity, 10 to 90 degrees two-theta:
13.53 deg, I 100
14.50 deg, I 65
17.33 deg, I 39
26.27 deg, I 37
29.62 deg, I 31
29.24 deg, I 30

Crystal structure
Cell: 8.644 8.207 12.084 Å, 90.00 130.82 90.00°
Sites, in units of the cell vectors:
1 Ga 0.113 0.044 0.384
2 Ga 0.113 0.456 0.884
3 Ga 0.887 0.544 0.116
4 Ga 0.887 0.956 0.616
5 P 0.131 0.227 0.652
6 P 0.131 0.273 0.152
7 P 0.869 0.727 0.848
8 P 0.869 0.773 0.348
9 S 0.183 0.719 0.977
10 S 0.183 0.781 0.477
11 S 0.232 0.013 0.771
12 S 0.232 0.487 0.271
13 S 0.233 0.237 0.039
14 S 0.233 0.263 0.539
15 S 0.260 0.065 0.280
16 S 0.260 0.435 0.780
17 S 0.740 0.565 0.220
18 S 0.740 0.935 0.720
19 S 0.767 0.737 0.461
20 S 0.767 0.763 0.961
21 S 0.768 0.513 0.729
22 S 0.768 0.987 0.229
23 S 0.817 0.219 0.523
24 S 0.817 0.281 0.023

3.
Diffraction record for RbZr6MnCl14. The PXRD pattern is simulated, not measured: it uses a crystal structure in the Materials Project, relaxed with GGA-PBE and Cu Kα.
Intensities are scaled so that the largest is 100.

Largest 6 diffraction maxima, by intensity, 10 to 90 degrees two-theta:
11.61 deg, I 100
35.77 deg, I 45
12.04 deg, I 31
31.55 deg, I 30
48.11 deg, I 26
30.82 deg, I 22

Crystal structure
Cell: 9.890 9.890 12.069 Å, 90.00 90.00 83.99°
Sites, in units of the cell vectors:
1 Rb 0.000 0.000 0.000
2 Rb 0.500 0.500 0.500
3 Zr 0.048 0.191 0.618
4 Zr 0.151 0.849 0.610
5 Zr 0.191 0.048 0.382
6 Zr 0.309 0.452 0.882
7 Zr 0.349 0.651 0.110
8 Zr 0.452 0.309 0.118
9 Zr 0.548 0.691 0.882
10 Zr 0.651 0.349 0.890
11 Zr 0.691 0.548 0.118
12 Zr 0.809 0.952 0.618
13 Zr 0.849 0.151 0.390
14 Zr 0.952 0.809 0.382
15 Mn 0.000 0.000 0.500
16 Mn 0.500 0.500 0.000
17 Cl 0.035 0.210 0.253
18 Cl 0.100 0.400 0.750
19 Cl 0.117 0.636 0.493
20 Cl 0.136 0.617 0.993
21 Cl 0.156 0.844 0.242
22 Cl 0.210 0.035 0.747
23 Cl 0.250 0.250 0.000
24 Cl 0.250 0.250 0.500
25 Cl 0.290 0.465 0.247
26 Cl 0.344 0.656 0.742
27 Cl 0.364 0.883 0.493
28 Cl 0.383 0.864 0.993
29 Cl 0.400 0.100 0.250
30 Cl 0.465 0.290 0.753
31 Cl 0.535 0.710 0.247
32 Cl 0.600 0.900 0.750
33 Cl 0.617 0.136 0.007
34 Cl 0.636 0.117 0.507
35 Cl 0.656 0.344 0.258
36 Cl 0.710 0.535 0.753
37 Cl 0.750 0.750 0.000
38 Cl 0.750 0.750 0.500
39 Cl 0.790 0.965 0.253
40 Cl 0.844 0.156 0.758
41 Cl 0.864 0.383 0.007
42 Cl 0.883 0.364 0.507
43 Cl 0.900 0.600 0.250
44 Cl 0.965 0.790 0.747

4.
Diffraction record for CeAl4Pd. The PXRD pattern is simulated, not measured: it uses a crystal structure in the Materials Project, relaxed with GGA-PBE and Cu Kα.
Intensities are scaled so that the largest is 100.

Largest 6 diffraction maxima, by intensity, 10 to 90 degrees two-theta:
30.07 deg, I 100
34.57 deg, I 79
36.66 deg, I 53
11.19 deg, I 45
37.87 deg, I 45
26.71 deg, I 44

Crystal structure
Cell: 8.191 8.191 6.675 Å, 90.00 90.00 149.76°
Sites, in units of the cell vectors:
1 Ce 0.114 0.886 0.750
2 Ce 0.886 0.114 0.250
3 Al 0.071 0.929 0.250
4 Al 0.318 0.682 0.551
5 Al 0.318 0.682 0.949
6 Al 0.500 0.500 0.000
7 Al 0.500 0.500 0.500
8 Al 0.682 0.318 0.051
9 Al 0.682 0.318 0.449
10 Al 0.929 0.071 0.750
11 Pd 0.224 0.776 0.250
12 Pd 0.776 0.224 0.750